Starting from DFT lattice parameters and positions (GGA-PBE), the PXRD pattern of PaTa2Se5 was calculated for Cu Kα, 1.54184 Å.
Intensities are scaled so that the largest is 100.

Structural model:
Lattice parameters (Å, degrees): 5.685 12.327 6.938 90.00 91.49 90.00
Positions (direct):
Pa  0.000  0.000  0.000
Pa  0.500  0.500  0.000
Ta  0.000  0.289  0.000
Ta  0.000  0.711  0.000
Ta  0.500  0.211  0.000
Ta  0.500  0.789  0.000
Se  0.000  0.500  0.000
Se  0.174  0.168  0.259
Se  0.174  0.832  0.259
Se  0.326  0.332  0.741
Se  0.326  0.668  0.741
Se  0.500  0.000  0.000
Se  0.674  0.332  0.259
Se  0.674  0.668  0.259
Se  0.826  0.168  0.741
Se  0.826  0.832  0.741

Main lines, low angle first (2θ = 10–90°):
d/Å, Rel. int.
6.936, 100
2.984, 30
2.816, 15
2.654, 21
2.420, 12
2.384, 9
2.304, 14
2.226, 10
2.170, 10
2.089, 8



Starting from DFT lattice parameters and positions (GGA-PBE), the PXRD pattern of Tb2Pa3Se8 was calculated for Cu Kα, 1.54184 Å.
Intensities are scaled so that the largest is 100.

Structural model:
Lattice parameters (Å, degrees): 7.218 4.100 13.703 90.00 100.86 90.00
Positions (direct):
Tb  0.242  0.000  0.248
Tb  0.758  0.000  0.752
Pa  0.257  0.500  0.752
Pa  0.500  0.000  0.000
Pa  0.743  0.500  0.248
Se  0.108  0.500  0.359
Se  0.132  0.000  0.876
Se  0.361  0.500  0.120
Se  0.383  0.000  0.638
Se  0.617  0.000  0.362
Se  0.639  0.500  0.880
Se  0.868  0.000  0.124
Se  0.892  0.500  0.641

Main lines, low angle first (2θ = 10–90°):
d/Å, Rel. int.
6.824, 12
6.729, 32
3.510, 19
2.920, 100
2.081, 13
2.075, 25
2.052, 36
1.677, 13
1.460, 12
1.311, 11



Starting from DFT lattice parameters and positions (GGA-PBE), the PXRD pattern of Pa3TeSe2 was calculated for Cu Kα, 1.54184 Å.
Intensities are scaled so that the largest is 100.

Structural model:
Lattice parameters (Å, degrees): 7.883 7.883 7.883 126.09 94.89 109.01
Positions (direct):
Pa  0.000  0.238  0.238
Pa  0.000  0.762  0.762
Pa  0.500  0.000  0.000
Pa  0.500  0.238  0.738
Pa  0.500  0.500  0.500
Pa  0.500  0.762  0.262
Te  0.205  0.955  0.250
Te  0.795  0.045  0.750
Se  0.264  0.739  0.525
Se  0.286  0.261  0.025
Se  0.714  0.739  0.975
Se  0.736  0.261  0.475

Main lines, low angle first (2θ = 10–90°):
d/Å, Rel. int.
6.945, 32
5.331, 12
3.473, 24
3.177, 12
2.665, 30
2.490, 100
2.429, 12
2.288, 18
1.736, 15
1.503, 19